Calculated powder XRD pattern of Hg3F for copper Kα, from a crystal structure in the Materials Project, relaxed with PBE.
Lines closer than 0.1° are merged.

Largest 12 diffraction maxima, sorted by position, 2θ from 15° to 90°:
2θ 20.08, d 4.421, I 24.5
2θ 28.55, d 3.126, I 21.4
2θ 35.16, d 2.553, I 100.0
2θ 40.82, d 2.211, I 50.0
2θ 45.89, d 1.977, I 12.4
2θ 50.57, d 1.805, I 9.4
2θ 59.10, d 1.563, I 33.9
2θ 63.08, d 1.474, I 6.3
2θ 70.66, d 1.333, I 40.2
2θ 74.31, d 1.276, I 11.7
2θ 81.44, d 1.182, I 5.2
2θ 88.44, d 1.105, I 5.9

Lattice parameters (Å, degrees): 4.4215 4.4215 4.4215 90.00 90.00 90.00
Element x y z (fractional)
Hg  0.0000  0.0000  0.5000
Hg  0.0000  0.5000  0.0000
Hg  0.5000  0.0000  0.0000
F  0.5000  0.5000  0.5000

---

Calculated powder XRD pattern of HgF3 for copper Kα, from a crystal structure in the Materials Project, relaxed with PBE.
Lines closer than 0.1° are merged.

Largest 10 diffraction maxima, sorted by position, 2θ from 15° to 90°:
2θ 26.97, d 3.306, I 100.0
2θ 31.24, d 2.863, I 52.3
2θ 44.76, d 2.025, I 79.9
2θ 53.04, d 1.727, I 50.3
2θ 55.60, d 1.653, I 14.6
2θ 65.16, d 1.432, I 12.4
2θ 71.86, d 1.314, I 21.3
2θ 74.04, d 1.280, I 19.7
2θ 82.53, d 1.169, I 25.4
2θ 88.78, d 1.102, I 17.8

Lattice parameters (Å, degrees): 4.0491 4.0491 4.0491 60.00 60.00 60.00
Element x y z (fractional)
Hg  0.0000  0.0000  0.0000
F  0.2500  0.2500  0.2500
F  0.5000  0.5000  0.5000
F  0.7500  0.7500  0.7500

---

Calculated powder XRD pattern of HgF for copper Kα, from a crystal structure in the Materials Project, relaxed with PBE.
Lines closer than 0.1° are merged.

Largest 12 diffraction maxima, sorted by position, 2θ from 15° to 90°:
2θ 24.54, d 3.627, I 100.0
2θ 32.51, d 2.755, I 24.6
2θ 32.97, d 2.716, I 59.2
2θ 33.76, d 2.655, I 23.0
2θ 46.98, d 1.934, I 35.9
2θ 47.33, d 1.921, I 21.6
2θ 47.57, d 1.911, I 31.7
2θ 54.02, d 1.697, I 24.8
2θ 58.59, d 1.576, I 18.8
2θ 59.39, d 1.556, I 10.0
2θ 69.36, d 1.355, I 20.4
2θ 87.83, d 1.112, I 13.0

Lattice parameters (Å, degrees): 6.1423 6.1423 6.1423 143.55 143.55 52.49
Element x y z (fractional)
Hg  0.1171  0.1171  0.0000
Hg  0.8829  0.8829  0.0000
F  0.3139  0.3139  0.0000
F  0.6861  0.6861  0.0000

---

Calculated powder XRD pattern of K2InHgF6 for copper Kα, from a crystal structure in the Materials Project, relaxed with PBE.
Lines closer than 0.1° are merged.

Largest 12 diffraction maxima, sorted by position, 2θ from 15° to 90°:
2θ 19.20, d 4.623, I 66.4
2θ 27.28, d 3.269, I 100.0
2θ 32.11, d 2.788, I 7.8
2θ 38.96, d 2.312, I 38.3
2θ 43.79, d 2.068, I 32.0
2θ 48.22, d 1.887, I 40.8
2θ 56.28, d 1.635, I 23.8
2θ 60.03, d 1.541, I 15.5
2θ 63.65, d 1.462, I 19.2
2θ 70.57, d 1.335, I 7.5
2θ 77.21, d 1.236, I 21.7
2θ 86.87, d 1.121, I 9.1

Lattice parameters (Å, degrees): 6.5381 6.5381 6.5381 60.00 60.00 60.00
Element x y z (fractional)
K  0.2500  0.2500  0.2500
K  0.7500  0.7500  0.7500
In  0.0000  0.0000  0.0000
Hg  0.5000  0.5000  0.5000
F  0.2284  0.2284  0.7716
F  0.2284  0.7716  0.2284
F  0.2284  0.7716  0.7716
F  0.7716  0.2284  0.2284
F  0.7716  0.2284  0.7716
F  0.7716  0.7716  0.2284

---

Calculated powder XRD pattern of K2HgIrF6 for copper Kα, from a crystal structure in the Materials Project, relaxed with PBE.
Lines closer than 0.1° are merged.

Largest 12 diffraction maxima, sorted by position, 2θ from 15° to 90°:
2θ 18.50, d 4.795, I 71.6
2θ 26.29, d 3.390, I 100.0
2θ 37.52, d 2.397, I 32.3
2θ 42.14, d 2.144, I 32.8
2θ 46.39, d 1.957, I 39.6
2θ 54.10, d 1.695, I 19.9
2θ 57.68, d 1.598, I 16.3
2θ 61.12, d 1.516, I 21.9
2θ 70.86, d 1.330, I 8.6
2θ 73.97, d 1.281, I 23.3
2θ 83.05, d 1.163, I 9.4
2θ 86.02, d 1.130, I 11.1

Lattice parameters (Å, degrees): 6.7807 6.7807 6.7807 60.00 60.00 60.00
Element x y z (fractional)
K  0.2500  0.2500  0.2500
K  0.7500  0.7500  0.7500
Hg  0.0000  0.0000  0.0000
Ir  0.5000  0.5000  0.5000
F  0.2941  0.2941  0.7059
F  0.2941  0.7059  0.2941
F  0.2941  0.7059  0.7059
F  0.7059  0.2941  0.2941
F  0.7059  0.2941  0.7059
F  0.7059  0.7059  0.2941

---

Calculated powder XRD pattern of KHgF3 for copper Kα, from a crystal structure in the Materials Project, relaxed with PBE.
Lines closer than 0.1° are merged.

Largest 12 diffraction maxima, sorted by position, 2θ from 15° to 90°:
2θ 19.29, d 4.601, I 74.1
2θ 27.41, d 3.254, I 100.0
2θ 33.74, d 2.656, I 7.9
2θ 39.16, d 2.301, I 35.8
2θ 44.01, d 2.058, I 38.0
2θ 48.46, d 1.878, I 43.0
2θ 56.58, d 1.627, I 23.1
2θ 60.35, d 1.534, I 18.9
2θ 63.99, d 1.455, I 19.0
2θ 74.33, d 1.276, I 8.3
2θ 77.65, d 1.230, I 22.3
2θ 87.39, d 1.116, I 11.5

Lattice parameters (Å, degrees): 4.6011 4.6011 4.6011 90.00 90.00 90.00
Element x y z (fractional)
K  0.0000  0.0000  0.0000
Hg  0.5000  0.5000  0.5000
F  0.0000  0.5000  0.5000
F  0.5000  0.0000  0.5000
F  0.5000  0.5000  0.0000

---

Calculated powder XRD pattern of K2NbHgF6 for copper Kα, from a crystal structure in the Materials Project, relaxed with PBE.
Lines closer than 0.1° are merged.

Largest 12 diffraction maxima, sorted by position, 2θ from 15° to 90°:
2θ 17.97, d 4.935, I 62.0
2θ 25.53, d 3.489, I 100.0
2θ 30.03, d 2.976, I 13.3
2θ 36.41, d 2.467, I 35.6
2θ 39.81, d 2.264, I 11.9
2θ 40.89, d 2.207, I 26.6
2θ 45.00, d 2.015, I 37.8
2θ 52.44, d 1.745, I 21.2
2θ 55.89, d 1.645, I 13.2
2θ 59.21, d 1.561, I 22.8
2θ 71.54, d 1.319, I 23.2
2θ 83.02, d 1.163, I 10.5

Lattice parameters (Å, degrees): 6.9790 6.9790 6.9790 60.00 60.00 60.00
Element x y z (fractional)
K  0.2500  0.2500  0.2500
K  0.7500  0.7500  0.7500
Nb  0.0000  0.0000  0.0000
Hg  0.5000  0.5000  0.5000
F  0.2037  0.2037  0.7963
F  0.2037  0.7963  0.2037
F  0.2037  0.7963  0.7963
F  0.7963  0.2037  0.2037
F  0.7963  0.2037  0.7963
F  0.7963  0.7963  0.2037

---

Calculated powder XRD pattern of K2HgRhF6 for copper Kα, from a crystal structure in the Materials Project, relaxed with PBE.
Lines closer than 0.1° are merged.

Largest 12 diffraction maxima, sorted by position, 2θ from 15° to 90°:
2θ 17.17, d 5.166, I 9.1
2θ 19.85, d 4.474, I 66.1
2θ 28.21, d 3.163, I 100.0
2θ 33.21, d 2.698, I 10.5
2θ 40.32, d 2.237, I 38.3
2θ 45.33, d 2.001, I 30.9
2θ 49.94, d 1.826, I 40.1
2θ 58.34, d 1.582, I 23.5
2θ 62.26, d 1.491, I 15.0
2θ 66.04, d 1.415, I 18.8
2θ 73.30, d 1.291, I 7.4
2θ 80.30, d 1.196, I 21.5

Lattice parameters (Å, degrees): 6.3267 6.3267 6.3267 60.00 60.00 60.00
Element x y z (fractional)
K  0.2500  0.2500  0.2500
K  0.7500  0.7500  0.7500
Hg  0.0000  0.0000  0.0000
Rh  0.5000  0.5000  0.5000
F  0.2712  0.2712  0.7288
F  0.2712  0.7288  0.2712
F  0.2712  0.7288  0.7288
F  0.7288  0.2712  0.2712
F  0.7288  0.2712  0.7288
F  0.7288  0.7288  0.2712